This entry pairs a crystal structure of AcPrY14 with its simulated powder diffraction line list. Radiation: λ = 1.5418 Å (Cu Kα). Structure: DFT lattice parameters and positions (GGA-PBE).
Neutral-atom scattering factors, no anomalous dispersion.

The 10 most intense peaks (15 to 90 degrees two-theta), by angle:
2θ = 28.00°, I 25; 2θ = 31.22°, I 24; 2θ = 32.14°, I 100; 2θ = 42.43°, I 16; 2θ = 49.45°, I 7; 2θ = 49.60°, I 13; 2θ = 56.15°, I 20; 2θ = 59.65°, I 7; 2θ = 59.78°, I 14; 2θ = 60.24°, I 10

Cell and atoms:
```
data_AcPrY14
_chemical_formula_sum 'Ac1 Pr1 Y14'
_space_group_name_H-M_alt 'P 1'
_space_group_IT_number 1
_space_group_name_Hall 'P 1'
_cell_length_a 11.458
_cell_length_b 7.352
_cell_length_c 7.352
_cell_angle_alpha 60.19
_cell_angle_beta 90.00
_cell_angle_gamma 90.00
loop_
_atom_site_label
_atom_site_fract_x
_atom_site_fract_y
_atom_site_fract_z
Ac1 0.000 0.000 0.000
Pr1 0.000 0.500 0.500
Y1 0.000 0.499 0.997
Y2 0.000 0.997 0.499
Y3 0.252 0.331 0.331
Y4 0.254 0.830 0.830
Y5 0.256 0.333 0.831
Y6 0.256 0.831 0.333
Y7 0.500 0.498 0.999
Y8 0.500 0.499 0.499
Y9 0.500 0.998 0.998
Y10 0.500 0.999 0.498
Y11 0.744 0.333 0.831
Y12 0.744 0.831 0.333
Y13 0.746 0.830 0.830
Y14 0.748 0.331 0.331
```

This entry pairs a crystal structure of Zn9NiRh2 with its simulated powder diffraction line list. Radiation: λ = 1.5418 Å (Cu Kα). Structure: DFT lattice parameters and positions (GGA-PBE).
Neutral-atom scattering factors, no anomalous dispersion.

The 10 most intense peaks (15 to 90 degrees two-theta), by angle:
2θ = 40.23°, I 52; 2θ = 40.75°, I 100; 2θ = 40.91°, I 47; 2θ = 45.28°, I 37; 2θ = 47.12°, I 33; 2θ = 49.44°, I 26; 2θ = 66.94°, I 11; 2θ = 67.87°, I 10; 2θ = 68.78°, I 10; 2θ = 80.51°, I 12

Cell and atoms:
```
data_Zn9NiRh2
_chemical_formula_sum 'Zn9 Ni1 Rh2'
_space_group_name_H-M_alt 'P 1'
_space_group_IT_number 1
_space_group_name_Hall 'P 1'
_cell_length_a 4.809
_cell_length_b 5.858
_cell_length_c 6.147
_cell_angle_alpha 83.92
_cell_angle_beta 84.59
_cell_angle_gamma 85.14
loop_
_atom_site_label
_atom_site_fract_x
_atom_site_fract_y
_atom_site_fract_z
Zn1 0.000 0.000 0.000
Zn2 0.009 0.346 0.673
Zn3 0.249 0.906 0.576
Zn4 0.262 0.265 0.244
Zn5 0.498 0.193 0.821
Zn6 0.502 0.807 0.179
Zn7 0.738 0.735 0.756
Zn8 0.751 0.094 0.424
Zn9 0.991 0.654 0.327
Ni1 0.500 0.500 0.500
Rh1 0.244 0.611 0.911
Rh2 0.756 0.389 0.089
```